Diffraction record for Bi2Pd9Pb4. The PXRD pattern is theoretical, not measured: it uses a GGA-PBE-relaxed structure and a wavelength of 1.5418 Å.
Peak positions follow from Bragg's law for the DFT cell and can differ from measured ones.

Main lines, by angle (2θ = 10–90°):
2θ = 27.35°, d 3.261, I = 47; 2θ = 34.68°, d 2.587, I = 37; 2θ = 39.00°, d 2.309, I = 58; 2θ = 39.13°, d 2.302, I = 100; 2θ = 48.40°, d 1.881, I = 11; 2θ = 51.13°, d 1.787, I = 11; 2θ = 53.27°, d 1.720, I = 11; 2θ = 56.44°, d 1.630, I = 20; 2θ = 64.69°, d 1.441, I = 14; 2θ = 68.05°, d 1.378, I = 11; 2θ = 70.86°, d 1.330, I = 37; 2θ = 84.11°, d 1.151, I = 11

Cell and atoms:
a b c (Å): 4.6038 4.6038 16.9986
angles (deg): 90.00 90.00 120.00
Positions (direct):
1 Bi 0.3333 0.6667 0.2557
2 Bi 0.6667 0.3333 0.7443
3 Pd 0.0000 0.0000 0.0000
4 Pd 0.0000 0.0000 0.1682
5 Pd 0.0000 0.0000 0.3361
6 Pd 0.0000 0.0000 0.6639
7 Pd 0.0000 0.0000 0.8318
8 Pd 0.3333 0.6667 0.0613
9 Pd 0.3333 0.6667 0.4373
10 Pd 0.6667 0.3333 0.5627
11 Pd 0.6667 0.3333 0.9387
12 Pb 0.3333 0.6667 0.6009
13 Pb 0.3333 0.6667 0.8928
14 Pb 0.6667 0.3333 0.1072
15 Pb 0.6667 0.3333 0.3991


Diffraction record for YMnMoIr2. The PXRD pattern is theoretical, not measured: it uses a GGA-PBE-relaxed structure and a wavelength of 1.5418 Å.
Peak positions follow from Bragg's law for the DFT cell and can differ from measured ones.

Main lines, by angle (2θ = 10–90°):
2θ = 18.20°, d 4.874, I = 19; 2θ = 18.52°, d 4.790, I = 47; 2θ = 31.99°, d 2.798, I = 100; 2θ = 36.88°, d 2.437, I = 68; 2θ = 37.55°, d 2.395, I = 32; 2θ = 41.57°, d 2.172, I = 25; 2θ = 53.15°, d 1.723, I = 24; 2θ = 53.65°, d 1.708, I = 46; 2θ = 63.39°, d 1.467, I = 28; 2θ = 64.29°, d 1.449, I = 13; 2θ = 66.88°, d 1.399, I = 23; 2θ = 88.08°, d 1.109, I = 12

Cell and atoms:
a b c (Å): 4.8744 4.8744 4.7904
angles (deg): 90.00 90.00 90.00
Positions (direct):
1 Y 0.0000 0.0000 0.0000
2 Mn 0.5000 0.5000 0.5000
3 Mo 0.0000 0.0000 0.5000
4 Ir 0.0000 0.5000 0.0000
5 Ir 0.5000 0.0000 0.0000


Diffraction record for Ac2As7Pd12. The PXRD pattern is theoretical, not measured: it uses a GGA-PBE-relaxed structure and a wavelength of 1.5418 Å.
Peak positions follow from Bragg's law for the DFT cell and can differ from measured ones.

Main lines, by angle (2θ = 10–90°):
2θ = 30.54°, d 2.927, I = 7; 2θ = 34.16°, d 2.625, I = 100; 2θ = 37.19°, d 2.418, I = 9; 2θ = 41.12°, d 2.195, I = 8; 2θ = 42.13°, d 2.145, I = 19; 2θ = 42.70°, d 2.118, I = 12; 2θ = 47.45°, d 1.916, I = 19; 2θ = 50.02°, d 1.823, I = 10; 2θ = 59.76°, d 1.548, I = 9; 2θ = 60.33°, d 1.534, I = 7; 2θ = 65.30°, d 1.429, I = 11; 2θ = 71.89°, d 1.313, I = 10

Cell and atoms:
a b c (Å): 10.1384 10.1384 4.2899
angles (deg): 90.00 90.00 120.00
Positions (direct):
1 Ac 0.3333 0.6667 0.2457
2 Ac 0.6667 0.3333 0.7543
3 As 0.0000 0.0000 0.5000
4 As 0.1071 0.7052 0.7440
5 As 0.2948 0.4019 0.7440
6 As 0.4019 0.1071 0.2560
7 As 0.5981 0.8929 0.7440
8 As 0.7052 0.5981 0.2560
9 As 0.8929 0.2948 0.2560
10 Pd 0.0580 0.4353 0.7468
11 Pd 0.1140 0.2498 0.2211
12 Pd 0.1358 0.8860 0.2211
13 Pd 0.2498 0.1358 0.7789
14 Pd 0.3772 0.9420 0.7468
15 Pd 0.4353 0.3772 0.2532
16 Pd 0.5647 0.6228 0.7468
17 Pd 0.6228 0.0580 0.2532
18 Pd 0.7502 0.8642 0.2211
19 Pd 0.8642 0.1140 0.7789
20 Pd 0.8860 0.7502 0.7789
21 Pd 0.9420 0.5647 0.2532


Diffraction record for YLuZn4. The PXRD pattern is theoretical, not measured: it uses a GGA-PBE-relaxed structure and a wavelength of 1.5418 Å.
Peak positions follow from Bragg's law for the DFT cell and can differ from measured ones.

Main lines, by angle (2θ = 10–90°):
2θ = 20.03°, d 4.433, I = 8; 2θ = 23.17°, d 3.839, I = 6; 2θ = 33.00°, d 2.715, I = 49; 2θ = 38.90°, d 2.315, I = 100; 2θ = 40.71°, d 2.217, I = 23; 2θ = 53.36°, d 1.717, I = 3; 2θ = 58.93°, d 1.567, I = 18; 2θ = 62.89°, d 1.478, I = 32; 2θ = 69.21°, d 1.357, I = 23; 2θ = 78.84°, d 1.214, I = 8; 2θ = 82.35°, d 1.171, I = 11; 2θ = 83.52°, d 1.158, I = 8

Cell and atoms:
a b c (Å): 5.4295 5.4295 5.4295
angles (deg): 60.00 60.00 60.00
Positions (direct):
1 Y 0.0000 0.0000 0.0000
2 Lu 0.2500 0.2500 0.2500
3 Zn 0.1248 0.6251 0.6251
4 Zn 0.6251 0.1248 0.6251
5 Zn 0.6251 0.6251 0.1248
6 Zn 0.6251 0.6251 0.6251


Diffraction record for Y12Tm7Sc. The PXRD pattern is theoretical, not measured: it uses a GGA-PBE-relaxed structure and a wavelength of 1.5418 Å.
Peak positions follow from Bragg's law for the DFT cell and can differ from measured ones.

Main lines, by angle (2θ = 10–90°):
2θ = 16.39°, d 5.409, I = 20; 2θ = 29.09°, d 3.069, I = 15; 2θ = 29.59°, d 3.019, I = 43; 2θ = 30.81°, d 2.902, I = 33; 2θ = 31.52°, d 2.838, I = 25; 2θ = 31.75°, d 2.818, I = 100; 2θ = 34.23°, d 2.620, I = 54; 2θ = 35.30°, d 2.542, I = 17; 2θ = 36.35°, d 2.472, I = 29; 2θ = 52.20°, d 1.752, I = 13; 2θ = 54.49°, d 1.684, I = 10; 2θ = 65.54°, d 1.424, I = 15

Cell and atoms:
a b c (Å): 9.2202 9.2202 9.2202
angles (deg): 107.92 107.92 107.92
Positions (direct):
1 Y 0.0986 0.2013 0.4346
2 Y 0.1073 0.8201 0.2930
3 Y 0.1799 0.7070 0.8927
4 Y 0.2013 0.4346 0.0986
5 Y 0.2930 0.1073 0.8201
6 Y 0.4346 0.0986 0.2013
7 Y 0.5654 0.9014 0.7987
8 Y 0.7070 0.8927 0.1799
9 Y 0.7987 0.5654 0.9014
10 Y 0.8201 0.2930 0.1073
11 Y 0.8927 0.1799 0.7070
12 Y 0.9014 0.7987 0.5654
13 Tm 0.0000 0.0000 0.0000
14 Tm 0.1880 0.6013 0.5030
15 Tm 0.3987 0.4970 0.8120
16 Tm 0.4970 0.8120 0.3987
17 Tm 0.5030 0.1880 0.6013
18 Tm 0.6013 0.5030 0.1880
19 Tm 0.8120 0.3987 0.4970
20 Sc 0.5000 0.5000 0.5000


Diffraction record for Ac5Te4Pb. The PXRD pattern is theoretical, not measured: it uses a GGA-PBE-relaxed structure and a wavelength of 1.5418 Å.
Peak positions follow from Bragg's law for the DFT cell and can differ from measured ones.

Main lines, by angle (2θ = 10–90°):
2θ = 22.83°, d 3.895, I = 9; 2θ = 26.42°, d 3.373, I = 100; 2θ = 37.71°, d 2.385, I = 79; 2θ = 46.63°, d 1.948, I = 29; 2θ = 54.33°, d 1.689, I = 9; 2θ = 61.41°, d 1.510, I = 26; 2θ = 61.56°, d 1.506, I = 13; 2θ = 68.04°, d 1.378, I = 19; 2θ = 68.16°, d 1.376, I = 10; 2θ = 80.59°, d 1.192, I = 6; 2θ = 86.47°, d 1.125, I = 8; 2θ = 86.60°, d 1.124, I = 10

Cell and atoms:
a b c (Å): 8.2676 8.2676 8.2676
angles (deg): 99.54 99.54 131.95
Positions (direct):
1 Ac 0.0000 0.0000 0.0000
2 Ac 0.2041 0.3999 0.6041
3 Ac 0.3999 0.7959 0.1958
4 Ac 0.6001 0.2041 0.8042
5 Ac 0.7959 0.6001 0.3959
6 Te 0.0989 0.6983 0.7972
7 Te 0.3017 0.0989 0.4007
8 Te 0.6983 0.9011 0.5993
9 Te 0.9011 0.3017 0.2028
10 Pb 0.5000 0.5000 0.0000


Diffraction record for CsK2AuO2. The PXRD pattern is theoretical, not measured: it uses a GGA-PBE-relaxed structure and a wavelength of 1.5418 Å.
Peak positions follow from Bragg's law for the DFT cell and can differ from measured ones.

Main lines, by angle (2θ = 10–90°):
2θ = 19.74°, d 4.497, I = 60; 2θ = 23.83°, d 3.733, I = 30; 2θ = 27.84°, d 3.204, I = 15; 2θ = 28.27°, d 3.157, I = 30; 2θ = 28.56°, d 3.125, I = 14; 2θ = 28.76°, d 3.104, I = 20; 2θ = 31.14°, d 2.872, I = 100; 2θ = 35.21°, d 2.549, I = 17; 2θ = 42.97°, d 2.105, I = 16; 2θ = 48.77°, d 1.867, I = 13; 2θ = 49.72°, d 1.834, I = 20; 2θ = 51.87°, d 1.763, I = 16

Cell and atoms:
a b c (Å): 12.6287 7.4668 6.4050
angles (deg): 90.00 90.00 90.00
Positions (direct):
1 Cs 0.0964 0.2500 0.1880
2 Cs 0.4036 0.7500 0.6880
3 Cs 0.5964 0.2500 0.3120
4 Cs 0.9036 0.7500 0.8120
5 K 0.1387 0.5010 0.6455
6 K 0.1387 0.9990 0.6455
7 K 0.3613 0.0010 0.1455
8 K 0.3613 0.4990 0.1455
9 K 0.6387 0.5010 0.8545
10 K 0.6387 0.9990 0.8545
11 K 0.8613 0.0010 0.3545
12 K 0.8613 0.4990 0.3545
13 Au 0.1215 0.7500 0.1808
14 Au 0.3785 0.2500 0.6808
15 Au 0.6215 0.7500 0.3192
16 Au 0.8785 0.2500 0.8192
17 O 0.0189 0.7500 0.4264
18 O 0.2239 0.7500 0.9354
19 O 0.2761 0.2500 0.4354
20 O 0.4811 0.2500 0.9264
21 O 0.5189 0.7500 0.0736
22 O 0.7239 0.7500 0.5646
23 O 0.7761 0.2500 0.0646
24 O 0.9811 0.2500 0.5736


Diffraction record for Ag7Pt3. The PXRD pattern is theoretical, not measured: it uses a GGA-PBE-relaxed structure and a wavelength of 1.5418 Å.
Peak positions follow from Bragg's law for the DFT cell and can differ from measured ones.

Main lines, by angle (2θ = 10–90°):
2θ = 38.17°, d 2.358, I = 100; 2θ = 44.06°, d 2.055, I = 17; 2θ = 44.45°, d 2.038, I = 16; 2θ = 44.57°, d 2.033, I = 16; 2θ = 64.42°, d 1.446, I = 21; 2θ = 64.64°, d 1.442, I = 5; 2θ = 77.09°, d 1.237, I = 12; 2θ = 77.55°, d 1.231, I = 6; 2θ = 77.73°, d 1.229, I = 12; 2θ = 77.91°, d 1.226, I = 6; 2θ = 81.55°, d 1.180, I = 5; 2θ = 81.79°, d 1.178, I = 5

Cell and atoms:
a b c (Å): 7.6371 7.6371 5.7471
angles (deg): 100.99 100.99 31.22
Positions (direct):
1 Ag 0.0000 0.0000 0.0000
2 Ag 0.1999 0.1999 0.5979
3 Ag 0.3995 0.3995 0.2018
4 Ag 0.3997 0.3997 0.7022
5 Ag 0.6003 0.6003 0.2978
6 Ag 0.6005 0.6005 0.7982
7 Ag 0.8001 0.8001 0.4021
8 Pt 0.0000 0.0000 0.5000
9 Pt 0.2016 0.2016 0.0935
10 Pt 0.7984 0.7984 0.9065


Diffraction record for Rb3Cd3Pt2. The PXRD pattern is theoretical, not measured: it uses a GGA-PBE-relaxed structure and a wavelength of 1.5418 Å.
Peak positions follow from Bragg's law for the DFT cell and can differ from measured ones.

Main lines, by angle (2θ = 10–90°):
2θ = 10.75°, d 8.228, I = 46; 2θ = 14.13°, d 6.268, I = 35; 2θ = 16.17°, d 5.482, I = 60; 2θ = 20.83°, d 4.264, I = 43; 2θ = 28.53°, d 3.128, I = 55; 2θ = 31.68°, d 2.824, I = 89; 2θ = 31.88°, d 2.807, I = 57; 2θ = 32.16°, d 2.784, I = 29; 2θ = 32.50°, d 2.755, I = 100; 2θ = 32.65°, d 2.743, I = 41; 2θ = 35.65°, d 2.519, I = 39; 2θ = 44.30°, d 2.045, I = 32

Cell and atoms:
a b c (Å): 9.3205 16.4558 6.7792
angles (deg): 90.00 90.00 90.00
Positions (direct):
1 Rb 0.0414 0.1074 0.1046
2 Rb 0.0414 0.3926 0.1046
3 Rb 0.2124 0.2500 0.5599
4 Rb 0.2876 0.7500 0.0599
5 Rb 0.4586 0.6074 0.6046
6 Rb 0.4586 0.8926 0.6046
7 Rb 0.5414 0.1074 0.3954
8 Rb 0.5414 0.3926 0.3954
9 Rb 0.7124 0.2500 0.9401
10 Rb 0.7876 0.7500 0.4401
11 Rb 0.9586 0.6074 0.8954
12 Rb 0.9586 0.8926 0.8954
13 Cd 0.1460 0.7500 0.5132
14 Cd 0.1580 0.0378 0.6178
15 Cd 0.1580 0.4622 0.6178
16 Cd 0.3420 0.5378 0.1178
17 Cd 0.3420 0.9622 0.1178
18 Cd 0.3540 0.2500 0.0132
19 Cd 0.6460 0.7500 0.9868
20 Cd 0.6580 0.0378 0.8822
21 Cd 0.6580 0.4622 0.8822
22 Cd 0.8420 0.5378 0.3822
23 Cd 0.8420 0.9622 0.3822
24 Cd 0.8540 0.2500 0.4868
25 Pt 0.1266 0.5947 0.3679
26 Pt 0.1266 0.9053 0.3679
27 Pt 0.3734 0.0947 0.8679
28 Pt 0.3734 0.4053 0.8679
29 Pt 0.6266 0.5947 0.1321
30 Pt 0.6266 0.9053 0.1321
31 Pt 0.8734 0.0947 0.6321
32 Pt 0.8734 0.4053 0.6321


Diffraction record for LaCd3Sn3. The PXRD pattern is theoretical, not measured: it uses a GGA-PBE-relaxed structure and a wavelength of 1.5418 Å.
Peak positions follow from Bragg's law for the DFT cell and can differ from measured ones.

Main lines, by angle (2θ = 10–90°):
2θ = 16.06°, d 5.520, I = 13; 2θ = 22.78°, d 3.903, I = 42; 2θ = 28.00°, d 3.187, I = 100; 2θ = 40.01°, d 2.254, I = 30; 2θ = 43.37°, d 2.086, I = 61; 2θ = 46.53°, d 1.952, I = 32; 2θ = 52.41°, d 1.746, I = 17; 2θ = 55.18°, d 1.664, I = 15; 2θ = 65.49°, d 1.425, I = 18; 2θ = 67.92°, d 1.380, I = 21; 2θ = 75.00°, d 1.266, I = 18; 2θ = 81.84°, d 1.177, I = 12

Cell and atoms:
a b c (Å): 7.8069 7.8069 7.8069
angles (deg): 90.00 90.00 90.00
Positions (direct):
1 La 0.0000 0.0000 0.0000
2 La 0.5000 0.5000 0.5000
3 Cd 0.0000 0.2500 0.5000
4 Cd 0.0000 0.7500 0.5000
5 Cd 0.2500 0.5000 0.0000
6 Cd 0.5000 0.0000 0.2500
7 Cd 0.5000 0.0000 0.7500
8 Cd 0.7500 0.5000 0.0000
9 Sn 0.0000 0.5000 0.2500
10 Sn 0.0000 0.5000 0.7500
11 Sn 0.2500 0.0000 0.5000
12 Sn 0.5000 0.2500 0.0000
13 Sn 0.5000 0.7500 0.0000
14 Sn 0.7500 0.0000 0.5000


Diffraction record for KNdS2O8. The PXRD pattern is theoretical, not measured: it uses a GGA-PBE-relaxed structure and a wavelength of 1.5418 Å.
Peak positions follow from Bragg's law for the DFT cell and can differ from measured ones.

Main lines, by angle (2θ = 10–90°):
2θ = 10.09°, d 8.766, I = 100; 2θ = 24.47°, d 3.637, I = 14; 2θ = 25.60°, d 3.480, I = 37; 2θ = 27.67°, d 3.223, I = 62; 2θ = 28.43°, d 3.139, I = 16; 2θ = 29.53°, d 3.025, I = 48; 2θ = 33.25°, d 2.694, I = 16; 2θ = 40.12°, d 2.248, I = 18; 2θ = 43.11°, d 2.098, I = 15; 2θ = 46.62°, d 1.948, I = 17; 2θ = 49.85°, d 1.829, I = 28; 2θ = 54.25°, d 1.691, I = 13

Cell and atoms:
a b c (Å): 8.7754 7.2744 10.7888
angles (deg): 90.00 92.64 90.00
Positions (direct):
1 K 0.0611 0.1510 0.3456
2 K 0.0611 0.3490 0.8456
3 K 0.9389 0.6510 0.1544
4 K 0.9389 0.8490 0.6544
5 Nd 0.4436 0.6689 0.6504
6 Nd 0.4436 0.8311 0.1504
7 Nd 0.5564 0.1689 0.8496
8 Nd 0.5564 0.3311 0.3496
9 S 0.2270 0.6575 0.4088
10 S 0.2270 0.8425 0.9088
11 S 0.3183 0.1663 0.6092
12 S 0.3183 0.3337 0.1092
13 S 0.6817 0.6663 0.8908
14 S 0.6817 0.8337 0.3908
15 S 0.7730 0.1575 0.0912
16 S 0.7730 0.3425 0.5912
17 O 0.1061 0.5326 0.3671
18 O 0.1061 0.9674 0.8671
19 O 0.1537 0.1426 0.6063
20 O 0.1537 0.3574 0.1063
21 O 0.1992 0.7479 0.5303
22 O 0.1992 0.7521 0.0303
23 O 0.2543 0.6986 0.8128
24 O 0.2543 0.8014 0.3128
25 O 0.3646 0.1681 0.1889
26 O 0.3646 0.3319 0.6889
27 O 0.3749 0.1800 0.4825
28 O 0.3749 0.3200 0.9825
29 O 0.3760 0.5553 0.4377
30 O 0.3760 0.9447 0.9377
31 O 0.4031 0.0108 0.6766
32 O 0.4031 0.4892 0.1766
33 O 0.5969 0.5108 0.8234
34 O 0.5969 0.9892 0.3234
35 O 0.6240 0.0553 0.0623
36 O 0.6240 0.4447 0.5623
37 O 0.6251 0.6800 0.0175
38 O 0.6251 0.8200 0.5175
39 O 0.6354 0.6681 0.3111
40 O 0.6354 0.8319 0.8111
41 O 0.7457 0.1986 0.6872
42 O 0.7457 0.3014 0.1872
43 O 0.8008 0.2479 0.9697
44 O 0.8008 0.2521 0.4697
45 O 0.8463 0.6426 0.8937
46 O 0.8463 0.8574 0.3937
47 O 0.8939 0.0326 0.1329
48 O 0.8939 0.4674 0.6329